No. 1
Theoretical XRD peak list of CeMnBeSi2 for Cu Ka, from a DFT-relaxed cell (PBE, Alexandria).

Structure:
Cell lengths 3.920, 3.920, 10.299 Å; angles 90.00, 90.00, 90.00 degrees
Sites, in units of the cell vectors:
Ce 0.000 0.000 0.000
Ce 0.500 0.500 0.500
Mn 0.000 0.500 0.250
Mn 0.500 0.000 0.750
Be 0.000 0.500 0.750
Be 0.500 0.000 0.250
Si 0.000 0.000 0.380
Si 0.000 0.000 0.620
Si 0.500 0.500 0.120
Si 0.500 0.500 0.880

Principal peaks in the range 2θ = 10–90°, sorted by position:
Position (°2θ)  d (Å)  I (rel.)
17.22  5.149  23.6
24.29  3.664  82.3
32.30  2.772  30.6
34.74  2.583  93.7
36.82  2.441  100.0
46.32  1.960  40.6
50.02  1.823  36.0
52.98  1.728  20.2
59.19  1.561  51.3
70.54  1.335  25.4



No. 2
Theoretical XRD peak list of CeBeN2 for Cu Ka, from a DFT-relaxed cell (PBE, Alexandria).

Structure:
Cell lengths 3.703, 3.703, 15.538 Å; angles 90.00, 90.00, 120.00 degrees
Sites, in units of the cell vectors:
Ce 0.000 0.000 0.000
Ce 0.333 0.667 0.667
Ce 0.667 0.333 0.333
Be 0.000 0.000 0.500
Be 0.333 0.667 0.167
Be 0.667 0.333 0.833
N 0.000 0.000 0.402
N 0.000 0.000 0.598
N 0.333 0.667 0.068
N 0.333 0.667 0.265
N 0.667 0.333 0.735
N 0.667 0.333 0.932

Principal peaks in the range 2θ = 10–90°, sorted by position:
Position (°2θ)  d (Å)  I (rel.)
17.12  5.179  100.0
28.42  3.141  53.1
30.15  2.965  92.4
36.32  2.473  36.0
40.42  2.232  43.8
49.21  1.852  27.8
49.97  1.825  18.9
52.48  1.744  31.7
55.30  1.661  15.6
61.57  1.506  16.3



No. 3
Theoretical XRD peak list of CeBeNb2N4 for Cu Ka, from a DFT-relaxed cell (PBE, Alexandria).

Structure:
Cell lengths 5.560, 5.560, 10.494 Å; angles 90.00, 90.00, 146.47 degrees
Sites, in units of the cell vectors:
Ce 0.098 0.902 0.750
Ce 0.902 0.098 0.250
Be 0.174 0.826 0.250
Be 0.826 0.174 0.750
Nb 0.375 0.625 0.547
Nb 0.375 0.625 0.953
Nb 0.625 0.375 0.047
Nb 0.625 0.375 0.453
N 0.000 0.000 0.000
N 0.000 0.000 0.500
N 0.265 0.735 0.119
N 0.265 0.735 0.381
N 0.416 0.584 0.750
N 0.584 0.416 0.250
N 0.735 0.265 0.619
N 0.735 0.265 0.881

Principal peaks in the range 2θ = 10–90°, sorted by position:
Position (°2θ)  d (Å)  I (rel.)
30.32  2.948  31.8
30.58  2.923  100.0
33.67  2.662  41.7
33.82  2.651  94.3
34.18  2.624  26.0
38.80  2.321  65.6
41.67  2.167  35.7
52.83  1.733  32.7
54.60  1.681  40.4
58.65  1.574  33.3



No. 4
Theoretical XRD peak list of CeNpBeN3 for Cu Ka, from a DFT-relaxed cell (PBE, Alexandria).

Structure:
Cell lengths 6.931, 3.294, 7.168 Å; angles 90.00, 99.92, 90.00 degrees
Sites, in units of the cell vectors:
Ce 0.208 0.250 0.170
Ce 0.792 0.750 0.830
Np 0.187 0.250 0.654
Np 0.813 0.750 0.346
Be 0.405 0.750 0.924
Be 0.595 0.250 0.076
N 0.143 0.750 0.411
N 0.153 0.750 0.880
N 0.493 0.250 0.842
N 0.507 0.750 0.158
N 0.847 0.250 0.120
N 0.857 0.250 0.589

Principal peaks in the range 2θ = 10–90°, sorted by position:
Position (°2θ)  d (Å)  I (rel.)
12.97  6.828  51.0
26.10  3.414  51.9
26.35  3.383  39.7
30.12  2.967  100.0
30.44  2.936  51.7
33.22  2.697  36.1
37.34  2.408  67.7
38.13  2.360  44.4
48.77  1.867  34.9
51.93  1.761  29.6



No. 5
Theoretical XRD peak list of CeBe2VN4 for Cu Ka, from a DFT-relaxed cell (PBE, Alexandria).

Structure:
Cell lengths 6.251, 6.251, 8.829 Å; angles 90.00, 90.00, 150.78 degrees
Sites, in units of the cell vectors:
Ce 0.056 0.944 0.750
Ce 0.944 0.056 0.250
Be 0.409 0.591 0.541
Be 0.409 0.591 0.959
Be 0.591 0.409 0.041
Be 0.591 0.409 0.459
V 0.226 0.774 0.250
V 0.774 0.226 0.750
N 0.000 0.000 0.000
N 0.000 0.000 0.500
N 0.321 0.679 0.102
N 0.321 0.679 0.398
N 0.382 0.618 0.750
N 0.618 0.382 0.250
N 0.679 0.321 0.602
N 0.679 0.321 0.898

Principal peaks in the range 2θ = 10–90°, sorted by position:
Position (°2θ)  d (Å)  I (rel.)
14.64  6.049  25.8
17.77  4.990  44.1
20.11  4.414  100.0
29.26  3.052  39.0
31.26  2.861  48.7
35.77  2.511  52.2
37.61  2.392  93.7
42.88  2.109  36.0
47.92  1.898  36.1
51.07  1.789  24.4



No. 6
Theoretical XRD peak list of Ce2NdBe2Pt7 for Cu Ka, from a DFT-relaxed cell (PBE, Alexandria).

Structure:
Cell lengths 4.419, 4.419, 11.920 Å; angles 97.81, 97.81, 96.90 degrees
Sites, in units of the cell vectors:
Ce 0.196 0.196 0.381
Ce 0.804 0.804 0.619
Nd 0.000 0.000 0.000
Be 0.302 0.302 0.815
Be 0.698 0.698 0.185
Pt 0.172 0.601 0.194
Pt 0.300 0.300 0.624
Pt 0.399 0.828 0.806
Pt 0.500 0.500 0.000
Pt 0.601 0.172 0.194
Pt 0.700 0.700 0.376
Pt 0.828 0.399 0.806

Principal peaks in the range 2θ = 10–90°, sorted by position:
Position (°2θ)  d (Å)  I (rel.)
31.09  2.877  59.8
33.66  2.662  43.3
35.64  2.519  100.0
37.67  2.388  29.0
38.58  2.333  55.9
39.28  2.294  51.7
41.18  2.192  99.2
56.70  1.623  34.9
58.68  1.573  22.5
70.58  1.334  20.1



No. 7
Theoretical XRD peak list of CeBe17Ni for Cu Ka, from a DFT-relaxed cell (PBE, Alexandria).

Structure:
Cell lengths 5.707, 5.707, 5.707 Å; angles 83.28, 83.28, 83.28 degrees
Sites, in units of the cell vectors:
Ce 0.000 0.000 0.000
Be 0.003 0.003 0.504
Be 0.003 0.504 0.003
Be 0.053 0.358 0.635
Be 0.053 0.635 0.358
Be 0.225 0.685 0.685
Be 0.251 0.251 0.251
Be 0.339 0.339 0.855
Be 0.339 0.855 0.339
Be 0.358 0.053 0.635
Be 0.358 0.635 0.053
Be 0.445 0.445 0.445
Be 0.504 0.003 0.003
Be 0.635 0.053 0.358
Be 0.635 0.358 0.053
Be 0.685 0.225 0.685
Be 0.685 0.685 0.225
Be 0.855 0.339 0.339
Ni 0.655 0.655 0.655

Principal peaks in the range 2θ = 10–90°, sorted by position:
Position (°2θ)  d (Å)  I (rel.)
15.72  5.637  72.6
21.09  4.212  62.3
23.46  3.792  100.0
24.32  3.660  31.7
34.04  2.633  97.2
37.13  2.421  25.2
39.85  2.262  26.0
41.24  2.189  36.0
47.98  1.896  28.6
48.45  1.879  51.5



No. 8
Theoretical XRD peak list of Ce2BeNiPt6 for Cu Ka, from a DFT-relaxed cell (PBE, Alexandria).

Structure:
Cell lengths 7.646, 7.646, 7.646 Å; angles 42.74, 42.74, 42.74 degrees
Sites, in units of the cell vectors:
Ce 0.208 0.208 0.208
Ce 0.792 0.792 0.792
Be 0.000 0.000 0.000
Ni 0.500 0.500 0.500
Pt 0.241 0.241 0.733
Pt 0.241 0.733 0.241
Pt 0.267 0.759 0.759
Pt 0.733 0.241 0.241
Pt 0.759 0.267 0.759
Pt 0.759 0.759 0.267

Principal peaks in the range 2θ = 10–90°, sorted by position:
Position (°2θ)  d (Å)  I (rel.)
25.69  3.468  51.0
28.32  3.151  18.2
34.70  2.585  17.9
35.47  2.531  17.3
38.30  2.350  100.0
41.25  2.189  81.7
41.58  2.172  16.7
51.68  1.769  19.6
67.21  1.393  25.4
73.23  1.292  16.9